# Zn4Te3W5O18
Theoretical X-ray powder pattern, λ = 1.5418 Å (Cu Kα). Input: a PBE+U-relaxed structure.
Lines closer than 0.1° are merged.

Atomic structure:
```
Zn4Te3W5O18
1.0
7.873 -5.254 0.000
7.873 5.254 0.000
-0.447 0.000 10.253
Zn Te W O
8 6 10 36
direct
0.035 0.035 0.267
0.224 0.347 0.320
0.393 0.034 0.183
0.581 0.339 0.238
0.653 0.776 0.680
0.661 0.419 0.762
0.965 0.965 0.733
0.966 0.607 0.817
0.312 0.688 0.253
0.312 0.688 0.747
0.674 0.160 0.443
0.773 0.067 0.932
0.840 0.326 0.557
0.933 0.227 0.068
0.160 0.164 0.797
0.191 0.809 0.000
0.309 0.014 0.517
0.310 0.365 0.985
0.429 0.571 0.500
0.457 0.213 0.706
0.635 0.690 0.015
0.787 0.543 0.294
0.836 0.840 0.203
0.986 0.691 0.483
0.007 0.485 0.368
0.037 0.759 0.317
0.080 0.756 0.822
0.100 0.384 0.866
0.122 0.053 0.438
0.140 0.036 0.928
0.190 0.593 0.523
0.212 0.570 0.024
0.239 0.220 0.631
0.241 0.963 0.683
0.244 0.920 0.178
0.257 0.258 0.126
0.361 0.124 0.378
0.370 0.157 0.875
0.375 0.413 0.819
0.375 0.458 0.326
0.407 0.810 0.477
0.430 0.788 0.976
0.494 0.345 0.568
0.497 0.327 0.065
0.515 0.993 0.632
0.542 0.625 0.674
0.587 0.625 0.181
0.616 0.900 0.134
0.655 0.506 0.432
0.664 0.210 0.787
0.673 0.503 0.935
0.742 0.743 0.874
0.780 0.761 0.369
0.790 0.336 0.213
0.821 0.039 0.289
0.843 0.630 0.125
0.876 0.639 0.622
0.947 0.878 0.562
0.961 0.179 0.711
0.964 0.860 0.072
```

Principal peaks in the range 10° ≤ 2θ ≤ 90°, low angle first:
13.47 deg, rel. 34
20.32 deg, rel. 32
20.51 deg, rel. 23
21.92 deg, rel. 39
25.23 deg, rel. 25
27.42 deg, rel. 24
29.98 deg, rel. 67
31.30 deg, rel. 100
31.78 deg, rel. 47
33.02 deg, rel. 35